Zn3GaSe4: simulated powder diffractogram (λ = 1.5418 Å (Cu Kα)), based on a structure optimized by DFT (GGA-PBE).
Lines closer than 0.1° are merged.

Atomic structure:
a = 5.856 Å, b = 5.856 Å, c = 11.667 Å
α = 90.00°, β = 90.00°, γ = 90.00°
Space group I-42m (No. 121)
Symmetry-distinct sites (fractional):
Zn 0.000 0.000 0.000 x2
Zn 0.000 0.500 0.250 x4
Ga 0.000 0.000 0.500 x2
Se 0.240 0.240 0.871 x8

Peak list (6 most intense, 5° ≤ 2θ ≤ 70°, in order of rising 2θ)
| Position (°2θ) | d (Å) | intensity |
| --- | --- | --- |
| 26.39 | 3.377 | 100 |
| 43.78 | 2.068 | 74 |
| 51.79 | 1.765 | 30 |
| 51.95 | 1.760 | 15 |
| 63.55 | 1.464 | 8 |
| 63.82 | 1.458 | 4 |

---

ZnGa2Se4: simulated powder diffractogram (λ = 1.5418 Å (Cu Kα)), based on a structure optimized by DFT (GGA-PBE).
Lines closer than 0.1° are merged.

Atomic structure:
a = 5.625 Å, b = 5.625 Å, c = 11.066 Å
α = 90.00°, β = 90.00°, γ = 90.00°
Space group I-4 (No. 82)
Symmetry-distinct sites (fractional):
Zn 0.000 0.000 0.000 x2
Ga 0.000 0.000 0.500 x2
Ga 0.000 0.500 0.750 x2
Se 0.235 0.259 0.367 x8

Peak list (6 most intense, 5° ≤ 2θ ≤ 70°, in order of rising 2θ)
| Position (°2θ) | d (Å) | intensity |
| --- | --- | --- |
| 27.62 | 3.230 | 100 |
| 45.61 | 1.989 | 24 |
| 46.02 | 1.972 | 46 |
| 54.16 | 1.694 | 28 |
| 54.87 | 1.673 | 14 |
| 66.48 | 1.406 | 7 |

---

Zn4GaSe5: simulated powder diffractogram (λ = 1.5418 Å (Cu Kα)), based on a structure optimized by DFT (GGA-PBE).
Lines closer than 0.1° are merged.

Atomic structure:
a = 4.1100 Å, b = 4.1100 Å, c = 50.6601 Å
α = 90.00°, β = 90.00°, γ = 120.00°
Space group R3m (No. 160, hexagonal axes)
Symmetry-distinct sites (fractional):
Zn 0.0000 0.0000 0.0000 x3
Zn 0.0000 0.0000 0.1947 x3
Zn 0.0000 0.0000 0.3982 x3
Zn 0.0000 0.0000 0.7965 x3
Ga 0.0000 0.0000 0.5978 x3
Se 0.0000 0.0000 0.0490 x3
Se 0.0000 0.0000 0.2447 x3
Se 0.0000 0.0000 0.4474 x3
Se 0.0000 0.0000 0.6500 x3
Se 0.0000 0.0000 0.8459 x3

Peak list (6 most intense, 5° ≤ 2θ ≤ 70°, in order of rising 2θ)
| Position (°2θ) | d (Å) | intensity |
| --- | --- | --- |
| 26.39 | 3.377 | 33 |
| 26.54 | 3.358 | 100 |
| 43.87 | 2.064 | 48 |
| 44.07 | 2.055 | 50 |
| 52.13 | 1.755 | 44 |
| 63.93 | 1.456 | 15 |